This entry pairs a crystal structure of Lu2Co2O7 with its computed powder X-ray diffraction pattern. Radiation: a wavelength of 1.5418 Å. Structure: a structure optimized by DFT (PBE+U).

Structural model:
Lattice parameters (Å, degrees): 6.8771 6.8771 6.8771 60.00 60.00 60.00
Fractional positions:
Lu1 0.0000 0.0000 0.0000
Lu2 0.0000 0.0000 0.5000
Lu3 0.0000 0.5000 0.0000
Lu4 0.5000 0.0000 0.0000
Co1 0.0000 0.5000 0.5000
Co2 0.5000 0.0000 0.5000
Co3 0.5000 0.5000 0.0000
Co4 0.5000 0.5000 0.5000
O1 0.1250 0.1250 0.1250
O2 0.1692 0.1692 0.5808
O3 0.1692 0.5808 0.1692
O4 0.1692 0.5808 0.5808
O5 0.4192 0.4192 0.8308
O6 0.4192 0.8308 0.4192
O7 0.4192 0.8308 0.8308
O8 0.5808 0.1692 0.1692
O9 0.5808 0.1692 0.5808
O10 0.5808 0.5808 0.1692
O11 0.8308 0.4192 0.4192
O12 0.8308 0.4192 0.8308
O13 0.8308 0.8308 0.4192
O14 0.8750 0.8750 0.8750

Largest 6 diffraction maxima, low angle first, 15° ≤ 2θ ≤ 90°:
| 2theta | intensity |
| --- | --- |
| 15.78 | 24.3 |
| 31.87 | 100.0 |
| 36.97 | 31.7 |
| 53.28 | 45.4 |
| 63.44 | 40.7 |
| 87.42 | 17.0 |